Theoretical XRD peak list of BeAlB2 for CuKα, from a cell relaxed with PBE.

Main lines, in order of rising 2θ (10 to 90 degrees two-theta):
| two_theta | Rel. int. | hkl |
| --- | --- | --- |
| 34.69 | 79 | 1 0 0 |
| 35.78 | 40 | 0 0 2 |
| 39.19 | 100 | 0 1 1 |
| 50.69 | 68 | 1 0 2 |
| 62.19 | 37 | 1 1 0 |
| 73.87 | 25 | 1 1 2 |

Crystal structure
Cell lengths 2.9855, 2.9855, 5.0195 Å; angles 90.00, 90.00, 120.00 degrees
Space group P3m1 (No. 156)
Asymmetric unit:
1 Be 0.0000 0.0000 0.0000 x1
2 Al 0.3333 0.6667 0.3809 x1
3 B 0.3333 0.6667 0.8112 x1
4 B 0.6667 0.3333 0.7845 x1